No. 1
Computed X-ray powder pattern
Compound: MnBe2FeTc
Radiation: Cu Ka
Structure: the PBE geometry in Alexandria
Intensities are scaled so that the largest is 100.

Structural model:
Lattice parameters (Å, degrees): 3.944 3.944 4.264 90.00 90.00 90.00
Space group P4/mmm (No. 123)
Asymmetric unit:
Mn 0.000 0.000 0.000 x1
Be 0.000 0.500 0.000 x2
Fe 0.500 0.500 0.500 x1
Tc 0.000 0.000 0.500 x1

Largest 10 diffraction maxima, by angle, 2θ from 10° to 90°:
two_theta	I (rel.)
20.83	29
22.54	57
32.09	100
38.57	39
42.40	28
46.02	44
54.15	43
64.35	30
76.35	14
82.69	15


No. 2
Computed X-ray powder pattern
Compound: La2Pm7Ho4
Radiation: Cu Ka
Structure: the PBE geometry in Alexandria
Intensities are scaled so that the largest is 100.

Structural model:
Lattice parameters (Å, degrees): 6.262 8.125 9.619 95.10 108.95 104.94
Space group P-1 (No. 2)
Asymmetric unit:
La 0.117 0.231 0.077 x2
Pm 0.033 0.076 0.689 x2
Pm 0.193 0.387 0.464 x2
Pm 0.348 0.694 0.233 x2
Pm 0.500 0.000 0.000 x1
Ho 0.268 0.537 0.844 x2
Ho 0.423 0.846 0.616 x2

Largest 10 diffraction maxima, by angle, 2θ from 10° to 90°:
two_theta	I (rel.)
30.06	34
30.20	100
34.94	45
35.03	23
50.24	24
50.44	16
59.58	10
59.67	10
59.80	24
59.87	10


No. 3
Computed X-ray powder pattern
Compound: AlBMo
Radiation: Cu Ka
Structure: the PBE geometry in Alexandria
Intensities are scaled so that the largest is 100.

Structural model:
Lattice parameters (Å, degrees): 3.0029 3.0029 29.4351 90.00 90.00 120.00
Space group R3m (No. 160, hexagonal axes)
Asymmetric unit:
Al 0.0000 0.0000 0.0000 x3
Al 0.0000 0.0000 0.2530 x3
B 0.0000 0.0000 0.1262 x3
B 0.0000 0.0000 0.7930 x3
Mo 0.0000 0.0000 0.4060 x3
Mo 0.0000 0.0000 0.5131 x3

Largest 10 diffraction maxima, by angle, 2θ from 10° to 90°:
two_theta	I (rel.)
27.27	49
34.63	100
35.04	79
36.64	48
40.80	69
42.57	99
46.60	62
48.83	34
61.78	54
74.02	40